Record 1
Diffraction record for Th5Te6. The powder diffractogram is theoretical, not measured: it uses DFT lattice parameters and positions (PBE) and Cu Kα, 1.54184 Å.

Main lines, in order of rising 2θ (2θ from 10° to 90°):
Position (°2θ)	I/Imax	h k l
28.61	57	2 0 -2
28.68	100	1 3 1
40.54	39	3 3 -1
40.92	19	2 0 2
41.11	17	0 6 0
41.38	38	1 3 -3
49.97	11	4 0 0
50.85	19	2 6 -2
51.40	10	0 0 4
59.40	11	2 6 2
66.53	9	5 3 -3
67.73	9	3 3 -5

Structure:
```
data_Th5Te6
_cell_length_a 7.7431
_cell_length_b 13.1751
_cell_length_c 7.5421
_cell_angle_alpha 90.00
_cell_angle_beta 109.48
_cell_angle_gamma 90.00
_symmetry_space_group_name_H-M 'C 1 2/m 1'
_symmetry_Int_Tables_number 12
_symmetry_space_group_name_Hall '-C 2y'
loop_
_atom_site_label
_atom_site_type_symbol
_atom_site_fract_x
_atom_site_fract_y
_atom_site_fract_z
Th1 Th 0.0000 0.0000 0.0000
Th2 Th 0.0000 0.1638 0.5000
Th3 Th 0.0000 0.3180 0.0000
Te1 Te 0.2264 0.3472 0.7277
Te2 Te 0.2280 0.5000 0.2493
```

***

Record 2
Diffraction record for CsSb3Au2. The powder diffractogram is theoretical, not measured: it uses DFT lattice parameters and positions (PBE) and Cu Kα, 1.54184 Å.

Main lines, in order of rising 2θ (2θ from 10° to 90°):
Position (°2θ)	I/Imax	h k l
12.41	48	2 0 -1
20.55	43	1 1 1
24.95	33	1 1 -2
26.97	40	4 0 1
27.54	38	1 1 2
28.64	90	2 0 -3
32.50	100	0 2 0
33.47	53	6 0 -2
42.73	62	7 1 0
43.86	56	2 2 -3
47.35	40	6 2 -2
50.47	44	5 1 3

Structure:
```
data_CsSb3Au2
_cell_length_a 16.8234
_cell_length_b 5.5094
_cell_length_c 9.3751
_cell_angle_alpha 90.00
_cell_angle_beta 107.55
_cell_angle_gamma 90.00
_symmetry_space_group_name_H-M 'C 1 2/m 1'
_symmetry_Int_Tables_number 12
_symmetry_space_group_name_Hall '-C 2y'
loop_
_atom_site_label
_atom_site_type_symbol
_atom_site_fract_x
_atom_site_fract_y
_atom_site_fract_z
Cs1 Cs 0.1493 0.0000 0.0985
Sb1 Sb 0.0145 0.0000 0.3578
Sb2 Sb 0.1185 0.5000 0.7200
Sb3 Sb 0.2242 0.5000 0.4332
Au1 Au 0.0530 0.5000 0.3759
Au2 Au 0.1579 0.0000 0.7146
```

***

Record 3
Diffraction record for Sc8BiS4. The powder diffractogram is theoretical, not measured: it uses DFT lattice parameters and positions (PBE) and Cu Kα, 1.54184 Å.

Main lines, in order of rising 2θ (2θ from 10° to 90°):
Position (°2θ)	I/Imax	h k l
10.12	45	0 0 1
10.35	42	2 0 -1
22.86	29	4 0 -1
23.17	32	2 0 -3
25.37	32	1 1 -1
31.39	30	6 0 -3
32.62	100	3 1 0
32.78	51	2 0 -4
33.12	95	3 1 -3
38.60	34	3 1 1
39.56	38	5 1 -4
53.53	33	1 1 4

Structure:
```
data_Sc8BiS4
_cell_length_a 17.1078
_cell_length_b 3.6656
_cell_length_c 12.0277
_cell_angle_alpha 90.00
_cell_angle_beta 133.42
_cell_angle_gamma 90.00
_symmetry_space_group_name_H-M 'C 1 2/m 1'
_symmetry_Int_Tables_number 12
_symmetry_space_group_name_Hall '-C 2y'
loop_
_atom_site_label
_atom_site_type_symbol
_atom_site_fract_x
_atom_site_fract_y
_atom_site_fract_z
Sc1 Sc 0.0466 0.0000 0.2096
Sc2 Sc 0.1396 0.5000 0.8047
Sc3 Sc 0.1421 0.5000 0.0958
Sc4 Sc 0.1743 0.5000 0.5446
Bi1 Bi 0.0000 0.0000 0.5000
S1 S 0.1529 0.0000 0.9632
S2 S 0.1853 0.5000 0.3406
```

***

Record 4
Diffraction record for Sc2CdSe4. The powder diffractogram is theoretical, not measured: it uses DFT lattice parameters and positions (PBE) and Cu Kα, 1.54184 Å.

Main lines, in order of rising 2θ (2θ from 10° to 90°):
Position (°2θ)	I/Imax	h k l
22.16	39	2 2 0
26.04	49	3 1 1
27.22	53	2 2 2
31.54	44	4 0 0
34.45	13	3 3 1
38.88	15	4 2 2
41.34	40	5 1 1
45.20	100	4 4 0
53.57	20	6 2 2
65.84	14	8 0 0
83.46	27	8 4 4
89.29	15	9 5 1

Structure:
Cell: 11.3481 11.3481 11.3481 Å, 90.00 90.00 90.00°
Space group Fd-3m (No. 227, origin choice 2)
One atom of each set of equivalent atoms:
Sc (0.0000, 0.0000, 0.0000) x16
Cd (0.1250, 0.1250, 0.6250) x8
Se (0.0103, 0.0103, 0.2397) x32